Structure and calculated X-ray diffraction stick pattern of La3Pr4Sm3 (a cell relaxed with PBE; Cu Ka).
Lines closer than 0.1° are merged.

abc: 3.8822 13.7742 13.7039
angles: 90.00 90.00 90.00
Space group Amm2 (No. 38)
Asymmetric unit:
La (0.0000, 0.0000, 0.0000) [2 per cell]
La (0.5000, 0.2470, 0.4196) [4 per cell]
Pr (0.5000, 0.0000, 0.5421) [2 per cell]
Pr (0.5000, 0.0000, 0.7972) [2 per cell]
Pr (0.5000, 0.1291, 0.1722) [4 per cell]
Sm (0.0000, 0.0000, 0.3407) [2 per cell]
Sm (0.0000, 0.1698, 0.6697) [4 per cell]

Largest 10 diffraction maxima, by angle, 15 to 90 degrees two-theta:
2θ (°)	I_rel
29.07	595
29.45	254
30.89	1000
45.01	125
46.80	113
53.52	105
56.04	188
56.14	92
56.32	90
76.86	79